The following is a computed X-ray powder pattern of AcIn5Rh3. It was derived from a crystal structure in Alexandria, relaxed with PBE, using Cu Ka.

Largest 8 diffraction maxima, most intense first, 5 to 70 degrees two-theta:
Position (°2θ), Rel. int.
29.36, 100
31.21, 96
38.19, 95
43.04, 74
34.06, 66
28.37, 52
40.96, 40
42.84, 36

Crystal structure
Unit cell a=7.418 b=7.418 c=13.904 alpha=90.00 beta=90.00 gamma=147.08
Positions (direct):
1 Ac 0.178 0.822 0.750
2 Ac 0.822 0.178 0.250
3 In 0.000 0.000 0.000
4 In 0.000 0.000 0.500
5 In 0.205 0.795 0.062
6 In 0.205 0.795 0.438
7 In 0.442 0.558 0.649
8 In 0.442 0.558 0.851
9 In 0.558 0.442 0.149
10 In 0.558 0.442 0.351
11 In 0.795 0.205 0.562
12 In 0.795 0.205 0.938
13 Rh 0.148 0.852 0.250
14 Rh 0.392 0.608 0.046
15 Rh 0.392 0.608 0.454
16 Rh 0.608 0.392 0.546
17 Rh 0.608 0.392 0.954
18 Rh 0.852 0.148 0.750

***

The following is a computed X-ray powder pattern of NaPd3Rh4O12. It was derived from a crystal structure in Alexandria, relaxed with PBE, using Cu Ka.

Largest 8 diffraction maxima, most intense first, 5 to 70 degrees two-theta:
Position (°2θ), Rel. int.
33.26, 100
59.43, 46
47.75, 24
69.84, 13
16.45, 9
28.70, 6
37.32, 3
23.35, 2

Crystal structure
Unit cell a=6.598 b=6.598 c=6.598 alpha=109.47 beta=109.47 gamma=109.47
Positions (direct):
1 Na 0.000 0.000 0.000
2 Pd 0.000 0.500 0.500
3 Pd 0.500 0.000 0.500
4 Pd 0.500 0.500 0.000
5 Rh 0.000 0.000 0.500
6 Rh 0.000 0.500 0.000
7 Rh 0.500 0.000 0.000
8 Rh 0.500 0.500 0.500
9 O 0.130 0.821 0.309
10 O 0.179 0.309 0.488
11 O 0.179 0.691 0.870
12 O 0.309 0.130 0.821
13 O 0.309 0.488 0.179
14 O 0.488 0.179 0.309
15 O 0.512 0.821 0.691
16 O 0.691 0.512 0.821
17 O 0.691 0.870 0.179
18 O 0.821 0.309 0.130
19 O 0.821 0.691 0.512
20 O 0.870 0.179 0.691